This entry pairs a crystal structure of Tl2SiSnAu6 with its calculated powder X-ray diffraction pattern. Radiation: copper Kα. Structure: the PBE geometry in Alexandria.

Cell and atoms:
a b c (Å): 6.979 8.782 7.852
angles (deg): 90.00 90.00 90.00
Atoms (fractional coordinates):
Tl (0.250, 0.008, 0.194)
Tl (0.250, 0.492, 0.194)
Tl (0.750, 0.508, 0.806)
Tl (0.750, 0.992, 0.806)
Si (0.250, 0.750, 0.726)
Si (0.750, 0.250, 0.274)
Sn (0.250, 0.250, 0.795)
Sn (0.750, 0.750, 0.205)
Au (0.037, 0.250, 0.457)
Au (0.045, 0.750, 0.986)
Au (0.250, 0.504, 0.585)
Au (0.250, 0.996, 0.585)
Au (0.455, 0.750, 0.986)
Au (0.463, 0.250, 0.457)
Au (0.537, 0.750, 0.543)
Au (0.545, 0.250, 0.014)
Au (0.750, 0.004, 0.415)
Au (0.750, 0.496, 0.415)
Au (0.955, 0.250, 0.014)
Au (0.963, 0.750, 0.543)

The 10 most intense peaks (10 to 80 degrees two-theta), sorted by position:
d (Å), I_rel, hkl
3.422, 24, 1 0 2
2.927, 34, 0 2 2
2.732, 100, 2 2 0
2.699, 58, 1 2 2
2.608, 38, 2 0 2
2.242, 28, 2 2 2
2.196, 46, 0 4 0
2.162, 21, 3 1 1
2.140, 31, 1 2 3
1.680, 24, 2 4 2

=====

This entry pairs a crystal structure of Y14HoEr with its calculated powder X-ray diffraction pattern. Radiation: copper Kα. Structure: the PBE geometry in Alexandria.

Cell and atoms:
a b c (Å): 7.130 7.130 10.062
angles (deg): 90.00 90.00 90.00
Atoms (fractional coordinates):
Y (0.000, 0.000, 0.000)
Y (0.000, 0.500, 0.000)
Y (0.000, 0.500, 0.500)
Y (0.250, 0.250, 0.251)
Y (0.250, 0.250, 0.749)
Y (0.250, 0.750, 0.251)
Y (0.250, 0.750, 0.749)
Y (0.500, 0.000, 0.000)
Y (0.500, 0.000, 0.500)
Y (0.500, 0.500, 0.000)
Y (0.750, 0.250, 0.251)
Y (0.750, 0.250, 0.749)
Y (0.750, 0.750, 0.251)
Y (0.750, 0.750, 0.749)
Ho (0.000, 0.000, 0.500)
Er (0.500, 0.500, 0.500)

The 10 most intense peaks (10 to 80 degrees two-theta), sorted by position:
d (Å), I_rel, hkl
5.038, 2, 1 1 0
4.508, 2, 1 1 1
3.563, 2, 2 0 0
2.909, 100, 2 0 2
2.519, 50, 2 2 0
1.781, 35, 4 0 0
1.520, 27, 4 2 2
1.517, 13, 2 0 6
1.454, 12, 4 0 4
1.260, 4, 4 4 0

=====

This entry pairs a crystal structure of Ca2Ga2SiH2O8 with its calculated powder X-ray diffraction pattern. Radiation: copper Kα. Structure: the PBE geometry in Alexandria.

Cell and atoms:
a b c (Å): 7.785 7.833 7.834
angles (deg): 109.74 109.51 108.99
Atoms (fractional coordinates):
Ca (0.000, 0.000, 0.000)
Ca (0.023, 0.273, 0.718)
Ca (0.279, 0.969, 0.719)
Ca (0.719, 0.718, 0.438)
Ga (0.244, 0.732, 0.197)
Ga (0.496, 0.231, 0.472)
Ga (0.742, 0.478, 0.965)
Ga (0.765, 0.253, 0.240)
Si (0.271, 0.504, 0.473)
Si (0.517, 0.749, 0.964)
H (0.044, 0.979, 0.378)
H (0.384, 0.321, 0.059)
H (0.674, 0.046, 0.718)
H (0.960, 0.626, 0.722)
O (0.008, 0.980, 0.486)
O (0.039, 0.295, 0.308)
O (0.241, 0.213, 0.951)
O (0.254, 0.984, 0.257)
O (0.292, 0.704, 0.438)
O (0.310, 0.579, 0.719)
O (0.449, 0.705, 0.129)
O (0.452, 0.451, 0.453)
O (0.528, 0.237, 0.719)
O (0.573, 0.984, 0.999)
O (0.717, 0.446, 0.180)
O (0.718, 0.717, 0.984)
O (0.741, 0.269, 0.468)
O (0.781, 0.007, 0.718)
O (0.990, 0.755, 0.719)
O (0.991, 0.520, 0.968)

The 10 most intense peaks (10 to 80 degrees two-theta), sorted by position:
d (Å), I_rel, hkl
6.394, 35, 0 0 1
3.698, 94, 0 2 -1
3.685, 74, 2 0 -1
2.865, 56, 2 1 -2
2.854, 100, -1 2 1
2.846, 38, -2 2 1
2.612, 87, 1 -3 1
2.415, 34, 1 0 -3
1.602, 39, 0 4 0
1.595, 37, 4 0 0